This entry pairs a crystal structure of BaCa2O with its calculated powder diffraction line list. Radiation: Cu Kα (weighted mean of Kα1 and Kα2). Structure: a DFT-relaxed cell (GGA-PBE, Alexandria).
Intensities are scaled so that the largest is 100.

Cell and atoms:
Unit cell a=10.4882 b=10.4882 c=10.4882 alpha=90.00 beta=90.00 gamma=90.00
Space group Fd-3m (No. 227, origin choice 2)
Symmetry-distinct sites (fractional):
Ba  0.1250  0.1250  0.1250 x8
Ca  0.0000  0.0000  0.5000 x16
O  0.1250  0.1250  0.6250 x8

Main lines, in order of rising 2θ (2θ = 15–90°):
hkl	d (Å)	2θ/deg	I (rel.)
2 2 0	3.708	24.00	100
3 1 1	3.162	28.22	91
2 2 2	3.028	29.50	13
4 2 2	2.141	42.21	43
5 1 1	2.018	44.91	33
4 4 0	1.854	49.14	33
6 2 0	1.658	55.40	19
5 3 3	1.599	57.63	12
6 4 2	1.402	66.74	21
7 3 1	1.365	68.75	21